CaBHO3: computed powder X-ray diffraction pattern (Cu Kα, 1.54184 Å), based on a DFT-relaxed cell (GGA-PBE, Alexandria).
Lines closer than 0.1° are merged.

Most intense lines, 10 to 90 degrees two-theta, in order of rising 2θ:
d (Å)	I (rel.)
6.821	35
3.002	100
2.889	36
2.274	30
2.084	24
1.809	24

Atomic structure:
Unit cell a=3.604 b=5.439 c=6.827 alpha=90.00 beta=92.48 gamma=90.00
Positions (direct):
Ca: 0.249 0.000 0.144
Ca: 0.751 0.500 0.856
B: 0.274 0.995 0.728
B: 0.726 0.495 0.272
H: 0.457 0.811 0.502
H: 0.543 0.311 0.498
O: 0.238 0.221 0.810
O: 0.242 0.781 0.832
O: 0.375 0.981 0.527
O: 0.625 0.481 0.473
O: 0.758 0.281 0.168
O: 0.762 0.721 0.190